Structure and theoretical X-ray powder pattern of LiVPO5 (a structure optimized by DFT (GGA+U); a wavelength of 1.5418 Å).

Structural model:
Unit cell a=6.2226 b=5.3523 c=8.8338 alpha=90.00 beta=134.70 gamma=90.00
Atoms (fractional coordinates):
Li1 0.0000 0.0510 0.0000
Li2 0.0000 0.9490 0.5000
V1 0.6210 0.2497 0.1346
V2 0.6210 0.7503 0.6346
P1 0.1213 0.4897 0.6371
P2 0.1213 0.5103 0.1371
O1 0.2737 0.3240 0.8310
O2 0.2737 0.6760 0.3310
O3 0.3381 0.3255 0.1644
O4 0.3381 0.6745 0.6644
O5 0.6503 0.0562 0.6621
O6 0.6503 0.9438 0.1621
O7 0.8791 0.3335 0.0858
O8 0.8791 0.6665 0.5858
O9 0.9722 0.3109 0.4473
O10 0.9722 0.6891 0.9473

Top 10 peaks for 10 to 80 degrees two-theta, low angle first:
2θ/deg, I/Imax
16.6, 22
21.9, 100
26.1, 49
28.4, 33
28.7, 36
39.4, 16
46.6, 11
47.0, 13
57.9, 9
58.2, 10